For Nd4SmSe5, a DFT-relaxed cell (PBE, Alexandria) gives the computed X-ray diffraction stick pattern in this record (Cu Kα).
Peak positions follow from Bragg's law for the DFT cell and can differ from measured ones.

Top 10 peaks for 2θ = 10–90°, by angle:
Position (°2θ), intensity
25.86, 16.2
29.95, 100.0
42.77, 12.5
42.88, 62.2
53.17, 26.4
62.17, 8.2
70.57, 16.8
70.67, 11.2
78.41, 8.4
78.58, 16.7

Crystal structure
abc: 11.183 11.183 11.183
angles: 158.26 149.10 38.10
Positions (direct):
Nd1 0.100 0.100 0.000
Nd2 0.301 0.301 0.000
Nd3 0.699 0.699 0.000
Nd4 0.900 0.900 0.000
Sm1 0.500 0.500 0.000
Se1 0.000 0.500 0.500
Se2 0.200 0.700 0.500
Se3 0.402 0.902 0.500
Se4 0.598 0.098 0.500
Se5 0.800 0.300 0.500